No. 1
Calculated X-ray diffraction stick pattern
Compound: Sm3Mg2BRu3
Radiation: Cu Kα, 1.54184 Å
Structure: the PBE geometry in Alexandria
Lines closer than 0.1° are merged.

Structural model:
Unit cell a=7.6940 b=7.6940 c=3.5172 alpha=90.00 beta=90.00 gamma=120.00
Fractional coordinates of all 9 atoms:
Sm (0.0000, 0.6602, 0.0000)
Sm (0.3398, 0.3398, 0.0000)
Sm (0.6602, 0.0000, 0.0000)
Mg (0.3333, 0.6667, 0.5000)
Mg (0.6667, 0.3333, 0.5000)
B (0.0000, 0.0000, 0.0000)
Ru (0.0000, 0.2140, 0.5000)
Ru (0.2140, 0.0000, 0.5000)
Ru (0.7860, 0.7860, 0.5000)

Peak list (6 most intense, 5° ≤ 2θ ≤ 70°, by angle)
| 2θ (°) | d/Å | I (rel.) |
| --- | --- | --- |
| 13.29 | 6.663 | 23 |
| 23.12 | 3.847 | 39 |
| 34.55 | 2.596 | 100 |
| 35.65 | 2.518 | 23 |
| 40.62 | 2.221 | 21 |
| 47.25 | 1.924 | 24 |

***

No. 2
Calculated X-ray diffraction stick pattern
Compound: Pu3Th5N8
Radiation: Cu Kα, 1.54184 Å
Structure: the PBE geometry in Alexandria
Lines closer than 0.1° are merged.

Structural model:
Unit cell a=7.2072 b=7.2072 c=7.2072 alpha=60.20 beta=60.20 gamma=60.20
Fractional coordinates of all 16 atoms:
Pu (0.0000, 0.5000, 0.5000)
Pu (0.5000, 0.0000, 0.5000)
Pu (0.5000, 0.5000, 0.0000)
Th (0.0000, 0.0000, 0.0000)
Th (0.0000, 0.0000, 0.5000)
Th (0.0000, 0.5000, 0.0000)
Th (0.5000, 0.0000, 0.0000)
Th (0.5000, 0.5000, 0.5000)
N (0.2501, 0.2501, 0.7473)
N (0.2501, 0.7473, 0.2501)
N (0.2529, 0.2529, 0.2529)
N (0.2527, 0.7499, 0.7499)
N (0.7473, 0.2501, 0.2501)
N (0.7471, 0.7471, 0.7471)
N (0.7499, 0.2527, 0.7499)
N (0.7499, 0.7499, 0.2527)

Peak list (6 most intense, 5° ≤ 2θ ≤ 70°, by angle)
| 2θ (°) | d/Å | I (rel.) |
| --- | --- | --- |
| 30.30 | 2.950 | 100 |
| 30.43 | 2.938 | 33 |
| 35.17 | 2.552 | 87 |
| 50.50 | 1.807 | 31 |
| 50.66 | 1.802 | 31 |
| 60.08 | 1.540 | 47 |

***

No. 3
Calculated X-ray diffraction stick pattern
Compound: Ni2Os
Radiation: Cu Kα, 1.54184 Å
Structure: the PBE geometry in Alexandria
Lines closer than 0.1° are merged.

Structural model:
Unit cell a=4.4261 b=4.4261 c=4.5204 alpha=99.76 beta=99.76 gamma=119.84
Fractional coordinates of all 6 atoms:
Ni (0.0877, 0.9123, 0.7500)
Ni (0.2435, 0.7565, 0.2500)
Ni (0.7565, 0.2435, 0.7500)
Ni (0.9123, 0.0877, 0.2500)
Os (0.4218, 0.5782, 0.7500)
Os (0.5782, 0.4218, 0.2500)

Peak list (6 most intense, 5° ≤ 2θ ≤ 70°, by angle)
| 2θ (°) | d/Å | I (rel.) |
| --- | --- | --- |
| 24.28 | 3.666 | 50 |
| 42.50 | 2.127 | 53 |
| 43.19 | 2.095 | 100 |
| 43.34 | 2.088 | 50 |
| 49.79 | 1.831 | 36 |
| 50.32 | 1.813 | 64 |

***

No. 4
Calculated X-ray diffraction stick pattern
Compound: Pr2Dy7Th2
Radiation: Cu Kα, 1.54184 Å
Structure: the PBE geometry in Alexandria
Lines closer than 0.1° are merged.

Structural model:
Unit cell a=8.0424 b=8.0424 c=6.1492 alpha=106.14 beta=106.14 gamma=91.91
Fractional coordinates of all 11 atoms:
Pr (0.2139, 0.7861, 0.0000)
Pr (0.7861, 0.2139, 0.0000)
Dy (0.0000, 0.0000, 0.5000)
Dy (0.0682, 0.5899, 0.3330)
Dy (0.2459, 0.2459, 0.0780)
Dy (0.4101, 0.9318, 0.6670)
Dy (0.5899, 0.0682, 0.3330)
Dy (0.7541, 0.7541, 0.9220)
Dy (0.9318, 0.4101, 0.6670)
Th (0.4077, 0.4077, 0.6864)
Th (0.5923, 0.5923, 0.3136)

Peak list (6 most intense, 5° ≤ 2θ ≤ 70°, by angle)
| 2θ (°) | d/Å | I (rel.) |
| --- | --- | --- |
| 30.34 | 2.946 | 32 |
| 30.94 | 2.891 | 50 |
| 31.92 | 2.804 | 100 |
| 32.07 | 2.791 | 32 |
| 33.35 | 2.687 | 48 |
| 33.89 | 2.645 | 28 |

***

No. 5
Calculated X-ray diffraction stick pattern
Compound: CaBeW
Radiation: Cu Kα, 1.54184 Å
Structure: the PBE geometry in Alexandria
Lines closer than 0.1° are merged.

Structural model:
Unit cell a=5.9310 b=5.9310 c=5.9310 alpha=152.69 beta=145.59 gamma=44.47
Fractional coordinates of all 3 atoms:
Ca (0.0000, 0.0000, 0.0000)
Be (0.6989, 0.6989, 0.0000)
W (0.2864, 0.2864, 0.0000)

Peak list (6 most intense, 5° ≤ 2θ ≤ 70°, by angle)
| 2θ (°) | d/Å | I (rel.) |
| --- | --- | --- |
| 16.14 | 5.490 | 100 |
| 26.67 | 3.342 | 85 |
| 33.01 | 2.714 | 49 |
| 35.44 | 2.533 | 63 |
| 40.56 | 2.224 | 43 |
| 41.25 | 2.189 | 48 |

***

No. 6
Calculated X-ray diffraction stick pattern
Compound: KMn3In4Cl12
Radiation: Cu Kα, 1.54184 Å
Structure: the PBE geometry in Alexandria
Lines closer than 0.1° are merged.

Structural model:
Unit cell a=8.9683 b=8.9683 c=8.9683 alpha=109.47 beta=109.47 gamma=109.47
Fractional coordinates of all 20 atoms:
K (0.0000, 0.0000, 0.0000)
Mn (0.0000, 0.5000, 0.5000)
Mn (0.5000, 0.0000, 0.5000)
Mn (0.5000, 0.5000, 0.0000)
In (0.0000, 0.0000, 0.5000)
In (0.0000, 0.5000, 0.0000)
In (0.5000, 0.0000, 0.0000)
In (0.5000, 0.5000, 0.5000)
Cl (0.0000, 0.2766, 0.2766)
Cl (0.0000, 0.7234, 0.7234)
Cl (0.2500, 0.5000, 0.7500)
Cl (0.2500, 0.7500, 0.5000)
Cl (0.2766, 0.0000, 0.2766)
Cl (0.2766, 0.2766, 0.0000)
Cl (0.5000, 0.2500, 0.7500)
Cl (0.5000, 0.7500, 0.2500)
Cl (0.7234, 0.0000, 0.7234)
Cl (0.7234, 0.7234, 0.0000)
Cl (0.7500, 0.2500, 0.5000)
Cl (0.7500, 0.5000, 0.2500)

Peak list (6 most intense, 5° ≤ 2θ ≤ 70°, by angle)
| 2θ (°) | d/Å | I (rel.) |
| --- | --- | --- |
| 24.31 | 3.661 | 100 |
| 29.89 | 2.989 | 64 |
| 34.65 | 2.589 | 82 |
| 42.78 | 2.114 | 42 |
| 49.81 | 1.831 | 52 |
| 67.71 | 1.384 | 23 |

***

No. 7
Calculated X-ray diffraction stick pattern
Compound: BaW2N
Radiation: Cu Kα, 1.54184 Å
Structure: the PBE geometry in Alexandria
Lines closer than 0.1° are merged.

Structural model:
Unit cell a=6.3770 b=6.3770 c=6.3770 alpha=60.00 beta=60.00 gamma=60.00
Fractional coordinates of all 8 atoms:
Ba (0.1250, 0.1250, 0.1250)
Ba (0.8750, 0.8750, 0.8750)
W (0.0000, 0.5000, 0.5000)
W (0.5000, 0.0000, 0.5000)
W (0.5000, 0.5000, 0.0000)
W (0.5000, 0.5000, 0.5000)
N (0.3750, 0.3750, 0.3750)
N (0.6250, 0.6250, 0.6250)

Peak list (6 most intense, 5° ≤ 2θ ≤ 70°, by angle)
| 2θ (°) | d/Å | I (rel.) |
| --- | --- | --- |
| 17.03 | 5.207 | 23 |
| 27.98 | 3.189 | 24 |
| 32.94 | 2.719 | 100 |
| 34.45 | 2.603 | 56 |
| 52.74 | 1.736 | 36 |
| 57.84 | 1.594 | 37 |

***

No. 8
Calculated X-ray diffraction stick pattern
Compound: Rb2SiH5
Radiation: Cu Kα, 1.54184 Å
Structure: the PBE geometry in Alexandria
Lines closer than 0.1° are merged.

Structural model:
Unit cell a=5.7686 b=5.7686 c=5.7686 alpha=119.58 beta=119.58 gamma=90.72
Fractional coordinates of all 8 atoms:
Rb (0.0000, 0.5000, 0.5000)
Rb (0.5000, 0.0000, 0.5000)
Si (0.2466, 0.2466, 0.0000)
H (0.0405, 0.0405, 0.6001)
H (0.0405, 0.4404, 0.0000)
H (0.4379, 0.4379, 0.0000)
H (0.4404, 0.0405, 0.0000)
H (0.4404, 0.4404, 0.3999)

Peak list (6 most intense, 5° ≤ 2θ ≤ 70°, by angle)
| 2θ (°) | d/Å | I (rel.) |
| --- | --- | --- |
| 21.65 | 4.105 | 60 |
| 21.93 | 4.053 | 28 |
| 30.81 | 2.902 | 49 |
| 31.01 | 2.884 | 100 |
| 38.14 | 2.360 | 31 |
| 54.91 | 1.672 | 37 |